Entry 1:
Structure and theoretical powder diffractogram of AcH8W2 (a DFT-relaxed cell (PBE, Alexandria); Cu Kα (λ = 1.5418 Å)).
Lines closer than 0.1° are merged.

The 6 most intense peaks (15 to 90 degrees two-theta), most intense first:
28.24 deg, I 100, hkl 1 0 1; 27.86 deg, I 66, hkl -1 1 1; 26.67 deg, I 57, hkl 0 1 -1; 26.79 deg, I 56, hkl 1 0 -1; 35.64 deg, I 51, hkl 0 0 2; 36.43 deg, I 45, hkl 1 1 0

Cell lengths 4.8143, 4.8414, 5.0485 Å; angles 91.96, 91.78, 118.42 degrees
Space group P1 (No. 1)
Symmetry-distinct sites (fractional):
Ac1 0.0000 0.0000 0.0000
H1 0.2085 0.5992 0.1612
H2 0.2271 0.9586 0.4462
H3 0.4605 0.4590 0.7924
H4 0.5216 0.9763 0.7404
H5 0.6033 0.2053 0.1605
H6 0.6687 0.6659 0.3442
H7 0.9627 0.2206 0.4565
H8 0.9779 0.5268 0.7411
W1 0.3064 0.6090 0.5089
W2 0.6119 0.3063 0.5074

=====

Entry 2:
Structure and theoretical powder diffractogram of AcHf5 (a DFT-relaxed cell (PBE, Alexandria); Cu Kα (λ = 1.5418 Å)).
Lines closer than 0.1° are merged.

The 6 most intense peaks (15 to 90 degrees two-theta), most intense first:
33.59 deg, I 100, hkl 1 3 1; 38.80 deg, I 17, hkl 0 0 2; 39.47 deg, I 16, hkl 2 0 0; 38.65 deg, I 16, hkl 0 6 0; 66.94 deg, I 14, hkl 1 3 3; 67.86 deg, I 13, hkl 3 3 1

Cell lengths 4.5660, 13.9763, 4.6419 Å; angles 90.00, 90.00, 90.00 degrees
Space group Cmmm (No. 65)
Symmetry-distinct sites (fractional):
Ac1 0.0000 0.0000 0.0000
Hf1 0.0000 0.1737 0.5000
Hf2 0.0000 0.3246 0.0000
Hf3 0.0000 0.5000 0.5000

=====

Entry 3:
Structure and theoretical powder diffractogram of Li2Ac2HfO6 (a DFT-relaxed cell (PBE, Alexandria); Cu Kα (λ = 1.5418 Å)).
Lines closer than 0.1° are merged.

The 6 most intense peaks (15 to 90 degrees two-theta), most intense first:
30.69 deg, I 100, hkl 1 1 0; 18.49 deg, I 66, hkl 1 0 1; 29.05 deg, I 66, hkl 1 0 4; 33.93 deg, I 63, hkl 0 1 5; 42.77 deg, I 39, hkl 0 2 4; 62.65 deg, I 34, hkl 1 1 9

Cell lengths 5.8256, 5.8256, 15.5058 Å; angles 90.00, 90.00, 120.00 degrees
Space group R-3m (No. 166, hexagonal axes)
Symmetry-distinct sites (fractional):
Li1 0.0000 0.0000 0.0702
Ac1 0.0000 0.0000 0.2813
Hf1 0.0000 0.0000 0.5000
O1 0.0211 0.5105 0.2540

=====

Entry 4:
Structure and theoretical powder diffractogram of Ac2HfMgPd6 (a DFT-relaxed cell (PBE, Alexandria); Cu Kα (λ = 1.5418 Å)).
Lines closer than 0.1° are merged.

The 6 most intense peaks (15 to 90 degrees two-theta), most intense first:
37.81 deg, I 100, hkl 2 2 -2; 35.41 deg, I 61, hkl 4 0 -2; 22.32 deg, I 48, hkl 0 0 2; 46.36 deg, I 40, hkl 4 0 -4; 22.70 deg, I 31, hkl 2 0 -2; 31.37 deg, I 29, hkl 1 1 2

Cell lengths 10.3770, 5.9914, 8.6808 Å; angles 90.00, 113.43, 90.00 degrees
Space group C2/m (No. 12)
Symmetry-distinct sites (fractional):
Ac1 0.2273 0.0000 0.1831
Hf1 0.0000 0.5000 0.0000
Mg1 0.0000 0.0000 0.5000
Pd1 0.0067 0.2426 0.7609
Pd2 0.2492 0.0000 0.7600

=====

Entry 5:
Structure and theoretical powder diffractogram of AcHfN2 (a DFT-relaxed cell (PBE, Alexandria); Cu Kα (λ = 1.5418 Å)).
Lines closer than 0.1° are merged.

The 6 most intense peaks (15 to 90 degrees two-theta), most intense first:
30.36 deg, I 100, hkl 1 1 2; 29.56 deg, I 30, hkl 2 0 0; 52.95 deg, I 20, hkl 3 1 2; 32.22 deg, I 15, hkl 0 0 4; 42.62 deg, I 14, hkl 0 2 0; 44.29 deg, I 14, hkl 2 0 4

Cell lengths 6.0435, 4.2422, 11.1128 Å; angles 90.00, 90.00, 90.00 degrees
Space group Pnma (No. 62)
Symmetry-distinct sites (fractional):
Ac1 0.0272 0.2500 0.1591
Hf1 0.0038 0.7500 0.3922
N1 0.0502 0.7500 0.5882
N2 0.2470 0.2500 0.7573

=====

Entry 6:
Structure and theoretical powder diffractogram of AcNd2Hf (a DFT-relaxed cell (PBE, Alexandria); Cu Kα (λ = 1.5418 Å)).
Lines closer than 0.1° are merged.

The 6 most intense peaks (15 to 90 degrees two-theta), most intense first:
29.69 deg, I 100, hkl 0 1 2; 28.57 deg, I 59, hkl 0 0 12; 38.04 deg, I 51, hkl 1 0 10; 60.36 deg, I 44, hkl 1 1 12; 51.95 deg, I 34, hkl 1 1 0; 45.06 deg, I 33, hkl 0 1 14

Cell lengths 3.5203, 3.5203, 37.4975 Å; angles 90.00, 90.00, 120.00 degrees
Space group R-3m (No. 166, hexagonal axes)
Symmetry-distinct sites (fractional):
Ac1 0.0000 0.0000 0.0000
Nd1 0.0000 0.0000 0.4170
Hf1 0.0000 0.0000 0.5000